Diffraction record for Ca5P6Pd6. The XRD peak list is calculated, not measured: it uses a crystal structure in the Materials Project, relaxed with PBE and Cu Kα X-rays.
Lines closer than 0.1° are merged.

Largest 10 diffraction maxima, in order of rising 2θ, 5 to 70 degrees two-theta:
| 2θ (°) | I (rel.) |
| --- | --- |
| 21.52 | 30 |
| 23.13 | 18 |
| 31.80 | 30 |
| 33.74 | 100 |
| 43.58 | 30 |
| 43.83 | 25 |
| 43.89 | 24 |
| 49.10 | 23 |
| 63.53 | 19 |
| 63.76 | 16 |

Cell and atoms:
```
Ca5P6Pd6
1.0
8.262 0.000 0.000
0.000 4.126 0.000
0.000 0.000 19.226
Ca P Pd
10 12 12
direct
0.000 0.000 0.000 Ca
0.001 0.000 0.370 Ca
0.008 0.500 0.182 Ca
0.492 0.500 0.182 Ca
0.499 0.000 0.370 Ca
0.500 0.000 0.000 Ca
0.501 0.000 0.630 Ca
0.508 0.500 0.818 Ca
0.992 0.500 0.818 Ca
0.999 0.000 0.630 Ca
0.250 0.000 0.246 P
0.250 0.000 0.758 P
0.250 0.000 0.873 P
0.250 0.500 0.058 P
0.250 0.500 0.428 P
0.250 0.500 0.575 P
0.750 0.000 0.127 P
0.750 0.000 0.242 P
0.750 0.000 0.754 P
0.750 0.500 0.425 P
0.750 0.500 0.572 P
0.750 0.500 0.942 P
0.000 0.500 0.500 Pd
0.250 0.000 0.121 Pd
0.250 0.000 0.501 Pd
0.250 0.500 0.306 Pd
0.250 0.500 0.698 Pd
0.250 0.500 0.933 Pd
0.500 0.500 0.500 Pd
0.750 0.000 0.499 Pd
0.750 0.000 0.879 Pd
0.750 0.500 0.067 Pd
0.750 0.500 0.302 Pd
0.750 0.500 0.694 Pd
```